The following is a theoretical X-ray diffraction stick pattern of TlAsS2. It was derived from a DFT-relaxed cell (GGA-PBE, the Materials Project), using a wavelength of 1.5418 Å.

Cell and atoms:
```
data_TlAsS2
_chemical_formula_sum 'Tl8 As8 S16'
_cell_length_a 6.3196
_cell_length_b 11.6445
_cell_length_c 13.0352
_cell_angle_alpha 90.00
_cell_angle_beta 105.55
_cell_angle_gamma 90.00
_space_group_name_H-M_alt 'P 1'
_space_group_IT_number 1
_space_group_name_Hall 'P 1'
loop_
_atom_site_label
_atom_site_fract_x
_atom_site_fract_y
_atom_site_fract_z
_atom_site_occupancy
Tl1 0.1506 0.1776 0.0595 1
Tl2 0.1506 0.3224 0.5595 1
Tl3 0.2685 0.5574 0.8886 1
Tl4 0.2685 0.9426 0.3886 1
Tl5 0.7315 0.0574 0.6114 1
Tl6 0.7315 0.4426 0.1114 1
Tl7 0.8494 0.6776 0.4405 1
Tl8 0.8494 0.8224 0.9405 1
As1 0.2358 0.6683 0.2019 1
As2 0.2358 0.8317 0.7019 1
As3 0.4630 0.0898 0.8567 1
As4 0.4630 0.4102 0.3567 1
As5 0.5370 0.5898 0.6433 1
As6 0.5370 0.9102 0.1433 1
As7 0.7642 0.1683 0.2981 1
As8 0.7642 0.3317 0.7981 1
S1 0.1921 0.5626 0.6503 1
S2 0.1921 0.9374 0.1503 1
S3 0.2720 0.0323 0.6836 1
S4 0.2720 0.4677 0.1836 1
S5 0.2933 0.6858 0.3759 1
S6 0.2933 0.8142 0.8759 1
S7 0.4196 0.2139 0.3232 1
S8 0.4196 0.2861 0.8232 1
S9 0.5804 0.7139 0.1768 1
S10 0.5804 0.7861 0.6768 1
S11 0.7067 0.1858 0.1241 1
S12 0.7067 0.3142 0.6241 1
S13 0.7280 0.5323 0.8164 1
S14 0.7280 0.9677 0.3164 1
S15 0.8079 0.0626 0.8497 1
S16 0.8079 0.4374 0.3497 1
```

Top 10 peaks for 5° ≤ 2θ ≤ 70°, most intense first:
| 2theta | I_rel |
| --- | --- |
| 23.56 | 100 |
| 31.55 | 46 |
| 29.98 | 41 |
| 24.00 | 35 |
| 29.47 | 33 |
| 24.17 | 33 |
| 29.32 | 31 |
| 23.16 | 30 |
| 42.22 | 29 |
| 37.63 | 21 |



The following is a theoretical X-ray diffraction stick pattern of Tl3AsS4. It was derived from a DFT-relaxed cell (GGA-PBE, the Materials Project), using a wavelength of 1.5418 Å.

Cell and atoms:
```
data_Tl3AsS4
_chemical_formula_sum 'Tl12 As4 S16'
_cell_length_a 9.2789
_cell_length_b 11.1350
_cell_length_c 9.3455
_cell_angle_alpha 90.00
_cell_angle_beta 90.00
_cell_angle_gamma 90.00
_space_group_name_H-M_alt 'P 1'
_space_group_IT_number 1
_space_group_name_Hall 'P 1'
loop_
_atom_site_label
_atom_site_fract_x
_atom_site_fract_y
_atom_site_fract_z
_atom_site_occupancy
Tl1 0.0735 0.0558 0.1946 1
Tl2 0.0735 0.4442 0.1946 1
Tl3 0.0975 0.7500 0.3944 1
Tl4 0.4025 0.2500 0.8944 1
Tl5 0.4265 0.5558 0.6946 1
Tl6 0.4265 0.9442 0.6946 1
Tl7 0.5735 0.0558 0.3054 1
Tl8 0.5735 0.4442 0.3054 1
Tl9 0.5975 0.7500 0.1056 1
Tl10 0.9025 0.2500 0.6056 1
Tl11 0.9265 0.5558 0.8054 1
Tl12 0.9265 0.9442 0.8054 1
As1 0.2198 0.7500 0.9740 1
As2 0.2802 0.2500 0.4740 1
As3 0.7198 0.7500 0.5260 1
As4 0.7802 0.2500 0.0260 1
S1 0.0043 0.7500 0.0696 1
S2 0.1577 0.0889 0.5331 1
S3 0.1577 0.4111 0.5331 1
S4 0.1894 0.7500 0.7385 1
S5 0.3106 0.2500 0.2385 1
S6 0.3423 0.5889 0.0331 1
S7 0.3423 0.9111 0.0331 1
S8 0.4957 0.2500 0.5696 1
S9 0.5043 0.7500 0.4304 1
S10 0.6577 0.0889 0.9669 1
S11 0.6577 0.4111 0.9669 1
S12 0.6894 0.7500 0.7615 1
S13 0.8106 0.2500 0.2615 1
S14 0.8423 0.5889 0.4669 1
S15 0.8423 0.9111 0.4669 1
S16 0.9957 0.2500 0.9304 1
```

Top 10 peaks for 5° ≤ 2θ ≤ 70°, most intense first:
| 2theta | I_rel |
| --- | --- |
| 21.38 | 100 |
| 30.85 | 99 |
| 38.43 | 76 |
| 25.83 | 74 |
| 22.76 | 61 |
| 26.71 | 59 |
| 34.37 | 51 |
| 24.88 | 50 |
| 32.34 | 48 |
| 31.52 | 47 |



The following is a theoretical X-ray diffraction stick pattern of U2AsS2. It was derived from a DFT-relaxed cell (GGA-PBE, the Materials Project), using a wavelength of 1.5418 Å.

Cell and atoms:
```
data_U2AsS2
_chemical_formula_sum 'U2 As1 S2'
_cell_length_a 2.6450
_cell_length_b 2.6450
_cell_length_c 15.6190
_cell_angle_alpha 90.00
_cell_angle_beta 90.00
_cell_angle_gamma 90.00
_space_group_name_H-M_alt 'P 1'
_space_group_IT_number 1
_space_group_name_Hall 'P 1'
loop_
_atom_site_label
_atom_site_fract_x
_atom_site_fract_y
_atom_site_fract_z
_atom_site_occupancy
U1 0.0000 0.0000 0.1918 1
U2 0.0000 0.0000 0.8082 1
As1 0.0000 0.0000 0.0000 1
S1 0.0000 0.0000 0.3632 1
S2 0.0000 0.0000 0.6368 1
```

Top 10 peaks for 5° ≤ 2θ ≤ 70°, most intense first:
| 2theta | I_rel |
| --- | --- |
| 5.66 | 100 |
| 11.33 | 46 |
| 33.89 | 36 |
| 44.90 | 27 |
| 28.58 | 23 |
| 17.03 | 18 |
| 34.42 | 14 |
| 57.43 | 13 |
| 48.69 | 13 |
| 35.84 | 13 |



The following is a theoretical X-ray diffraction stick pattern of Zr2As3S. It was derived from a DFT-relaxed cell (GGA-PBE, the Materials Project), using a wavelength of 1.5418 Å.

Cell and atoms:
```
data_Zr2As3S
_chemical_formula_sum 'Zr2 As3 S1'
_cell_length_a 3.7807
_cell_length_b 3.7807
_cell_length_c 8.0263
_cell_angle_alpha 90.00
_cell_angle_beta 90.00
_cell_angle_gamma 90.00
_space_group_name_H-M_alt 'P 1'
_space_group_IT_number 1
_space_group_name_Hall 'P 1'
loop_
_atom_site_label
_atom_site_fract_x
_atom_site_fract_y
_atom_site_fract_z
_atom_site_occupancy
Zr1 0.0000 0.0000 0.0000 1
Zr2 0.5000 0.5000 0.4584 1
As1 0.0000 0.5000 0.7283 1
As2 0.5000 0.0000 0.7283 1
As3 0.5000 0.5000 0.1086 1
S1 0.0000 0.0000 0.3549 1
```

Top 10 peaks for 5° ≤ 2θ ≤ 70°, most intense first:
| 2theta | I_rel |
| --- | --- |
| 40.55 | 100 |
| 35.39 | 90 |
| 48.14 | 56 |
| 41.34 | 55 |
| 33.50 | 50 |
| 26.05 | 38 |
| 65.28 | 27 |
| 59.91 | 25 |
| 11.02 | 16 |
| 68.14 | 15 |